[1]
# KLiU4N8
Theoretical XRD peak list, Cu Kα (λ = 1.5418 Å). Input: a cell relaxed with GGA-PBE.

Crystal structure
a = 6.629 Å, b = 6.629 Å, c = 6.629 Å
α = 63.74°, β = 63.74°, γ = 63.74°
Sites, in units of the cell vectors:
K 0.000 0.000 0.000
Li 0.622 0.622 0.622
U 0.106 0.618 0.618
U 0.224 0.224 0.224
U 0.618 0.106 0.618
U 0.618 0.618 0.106
N 0.357 0.357 0.831
N 0.357 0.831 0.357
N 0.371 0.371 0.371
N 0.448 0.851 0.851
N 0.831 0.357 0.357
N 0.843 0.843 0.843
N 0.851 0.448 0.851
N 0.851 0.851 0.448

Most intense lines, 2θ from 5° to 70°, most intense first:
30.02°, rel. 100
16.87°, rel. 62
31.63°, rel. 49
26.99°, rel. 40
30.69°, rel. 39
52.27°, rel. 37
18.46°, rel. 32
32.00°, rel. 25
55.63°, rel. 22
37.43°, rel. 21

---

[2]
# Tb12Pm6Mg
Theoretical XRD peak list, Cu Kα (λ = 1.5418 Å). Input: a cell relaxed with GGA-PBE.

Crystal structure
a = 8.694 Å, b = 8.694 Å, c = 8.694 Å
α = 97.26°, β = 97.26°, γ = 97.26°
Sites, in units of the cell vectors:
Tb 0.000 0.262 0.738
Tb 0.000 0.738 0.262
Tb 0.167 0.588 0.588
Tb 0.262 0.000 0.738
Tb 0.262 0.738 0.000
Tb 0.412 0.412 0.833
Tb 0.412 0.833 0.412
Tb 0.588 0.167 0.588
Tb 0.588 0.588 0.167
Tb 0.738 0.000 0.262
Tb 0.738 0.262 0.000
Tb 0.833 0.412 0.412
Pm 0.134 0.135 0.408
Pm 0.135 0.408 0.134
Pm 0.408 0.134 0.135
Pm 0.592 0.866 0.865
Pm 0.865 0.592 0.866
Pm 0.866 0.865 0.592
Mg 0.000 0.000 0.000

Most intense lines, 2θ from 5° to 70°, most intense first:
32.43°, rel. 100
31.45°, rel. 94
31.70°, rel. 71
35.33°, rel. 38
28.54°, rel. 34
48.41°, rel. 29
34.61°, rel. 26
24.93°, rel. 24
13.57°, rel. 24
57.08°, rel. 24

---

[3]
# Tb5Sm2Dy12
Theoretical XRD peak list, Cu Kα (λ = 1.5418 Å). Input: a cell relaxed with GGA-PBE.

Crystal structure
a = 6.156 Å, b = 9.402 Å, c = 11.231 Å
α = 90.04°, β = 100.52°, γ = 109.02°
Sites, in units of the cell vectors:
Tb 0.000 0.000 0.000
Tb 0.264 0.843 0.527
Tb 0.474 0.316 0.947
Tb 0.526 0.684 0.053
Tb 0.736 0.157 0.473
Sm 0.210 0.474 0.420
Sm 0.790 0.526 0.580
Dy 0.052 0.368 0.104
Dy 0.106 0.738 0.210
Dy 0.158 0.105 0.315
Dy 0.314 0.209 0.632
Dy 0.369 0.579 0.738
Dy 0.421 0.948 0.842
Dy 0.579 0.052 0.158
Dy 0.631 0.421 0.262
Dy 0.686 0.791 0.368
Dy 0.842 0.895 0.685
Dy 0.894 0.262 0.790
Dy 0.948 0.632 0.896

Most intense lines, 2θ from 5° to 70°, most intense first:
30.82°, rel. 100
35.73°, rel. 51
61.16°, rel. 39
51.43°, rel. 36
64.20°, rel. 12
61.21°, rel. 4